Entry 1:
AgPd: simulated PXRD pattern (CuKα), based on a crystal structure in Alexandria, relaxed with PBE.

Crystal structure
```
AgPd
1.0
2.7782 0.0000 0.0000
0.0000 10.9053 0.0000
0.0000 0.0000 6.9597
Ag Pd
6 6
direct
0.2500 0.0020 0.1747 Ag
0.2500 0.4980 0.1747 Ag
0.2500 0.7500 0.1645 Ag
0.7500 0.2500 0.8355 Ag
0.7500 0.5020 0.8253 Ag
0.7500 0.9980 0.8253 Ag
0.2500 0.2500 0.1905 Pd
0.2500 0.6201 0.5219 Pd
0.2500 0.8799 0.5219 Pd
0.7500 0.1201 0.4781 Pd
0.7500 0.3799 0.4781 Pd
0.7500 0.7500 0.8095 Pd
```

Peak list (12 most intense, 10 to 90 degrees two-theta, low angle first)
2θ = 34.8°, intensity 84
2θ = 35.4°, intensity 100
2θ = 38.8°, intensity 90
2θ = 41.6°, intensity 63
2θ = 42.1°, intensity 79
2θ = 42.5°, intensity 20
2θ = 43.0°, intensity 24
2θ = 48.6°, intensity 85
2θ = 54.0°, intensity 29
2θ = 72.9°, intensity 37
2θ = 80.6°, intensity 20
2θ = 82.8°, intensity 21



Entry 2:
NaAcTiO4: simulated PXRD pattern (CuKα), based on a crystal structure in Alexandria, relaxed with PBE.

Crystal structure
```
NaAcTiO4
1.0
-1.9205 1.9205 6.5582
1.9205 -1.9205 6.5582
1.9205 1.9205 -6.5582
Na Ac Ti O
1 1 1 4
direct
0.0000 0.0000 0.0000 Na
0.2966 0.2966 0.0000 Ac
0.6280 0.6280 0.0000 Ti
0.1557 0.6557 0.5000 O
0.4913 0.4913 0.0000 O
0.6557 0.1557 0.5000 O
0.8203 0.8203 0.0000 O
```

Peak list (12 most intense, 10 to 90 degrees two-theta, low angle first)
2θ = 13.5°, intensity 81
2θ = 24.1°, intensity 91
2θ = 27.2°, intensity 20
2θ = 31.0°, intensity 100
2θ = 33.0°, intensity 55
2θ = 35.8°, intensity 36
2θ = 41.7°, intensity 23
2θ = 43.3°, intensity 40
2θ = 47.3°, intensity 29
2θ = 53.8°, intensity 47
2θ = 57.7°, intensity 36
2θ = 64.6°, intensity 18



Entry 3:
K3In4: simulated PXRD pattern (CuKα), based on a crystal structure in Alexandria, relaxed with PBE.

Crystal structure
```
K3In4
1.0
6.6182 0.0000 0.0000
-3.3091 5.7315 0.0000
0.0000 0.0000 6.5440
K In
3 4
direct
0.0000 0.5000 0.0000 K
0.5000 0.0000 0.0000 K
0.5000 0.5000 0.0000 K
0.0000 0.0000 0.2798 In
0.0000 0.0000 0.7202 In
0.3333 0.6667 0.5000 In
0.6667 0.3333 0.5000 In
```

Peak list (12 most intense, 10 to 90 degrees two-theta, low angle first)
2θ = 13.5°, intensity 19
2θ = 26.9°, intensity 96
2θ = 30.3°, intensity 80
2θ = 31.2°, intensity 21
2θ = 31.5°, intensity 100
2θ = 34.2°, intensity 22
2θ = 47.6°, intensity 20
2θ = 49.7°, intensity 19
2θ = 50.5°, intensity 51
2θ = 52.7°, intensity 20
2θ = 55.5°, intensity 23
2θ = 65.3°, intensity 23



Entry 4:
DyErH4: simulated PXRD pattern (CuKα), based on a crystal structure in Alexandria, relaxed with PBE.

Crystal structure
```
DyErH4
1.0
-2.5644 2.5644 5.1754
2.5644 -2.5644 5.1754
2.5644 2.5644 -5.1754
Dy Er H
2 2 8
direct
0.3750 0.6250 0.7500 Dy
0.6250 0.3750 0.2500 Dy
0.1250 0.8750 0.2500 Er
0.8750 0.1250 0.7500 Er
0.0000 0.2466 0.2466 H
0.0000 0.7534 0.7534 H
0.2466 0.0000 0.7466 H
0.2466 0.5000 0.2466 H
0.5000 0.2466 0.7466 H
0.5000 0.7534 0.2534 H
0.7534 0.0000 0.2534 H
0.7534 0.5000 0.7534 H
```

Peak list (12 most intense, 10 to 90 degrees two-theta, low angle first)
2θ = 30.1°, intensity 100
2θ = 34.7°, intensity 17
2θ = 35.0°, intensity 32
2θ = 50.1°, intensity 25
2θ = 50.3°, intensity 12
2θ = 59.3°, intensity 15
2θ = 59.8°, intensity 29
2θ = 62.5°, intensity 12
2θ = 81.4°, intensity 12
2θ = 81.8°, intensity 6
2θ = 83.7°, intensity 6
2θ = 84.3°, intensity 5